Entry 1:
Calculated PXRD pattern of Ni3S4 for a wavelength of 1.5418 Å, from a cell relaxed with PBE.
Peak positions follow from Bragg's law for the DFT cell and can differ from measured ones.

Structure:
a b c (Å): 9.434 9.434 9.434
angles (deg): 90.00 90.00 90.00
Space group Fd-3m (No. 227, origin choice 2)
One atom of each set of equivalent atoms:
Ni  0.000  0.000  0.000 [16 per cell]
Ni  0.125  0.125  0.625 [8 per cell]
S  0.008  0.008  0.242 [32 per cell]

Peak list (12 most intense, 15° ≤ 2θ ≤ 90°, sorted by position)
d_spacing, I/Imax
5.447, 13.7
3.335, 29.5
2.845, 100.0
2.359, 46.3
1.926, 10.8
1.816, 44.2
1.668, 81.1
1.439, 11.2
1.362, 8.9
1.261, 5.7
1.228, 16.8
1.179, 11.8


Entry 2:
Calculated PXRD pattern of LiScHg2 for a wavelength of 1.5418 Å, from a cell relaxed with PBE.
Peak positions follow from Bragg's law for the DFT cell and can differ from measured ones.

Structure:
a b c (Å): 4.829 4.829 6.848
angles (deg): 90.00 90.00 90.00
Space group I4/mmm (No. 139)
One atom of each set of equivalent atoms:
Li  0.000  0.000  0.000 [2 per cell]
Sc  0.000  0.000  0.500 [2 per cell]
Hg  0.000  0.500  0.250 [4 per cell]

Peak list (12 most intense, 15° ≤ 2θ ≤ 90°, sorted by position)
d_spacing, I/Imax
3.417, 74.5
2.417, 100.0
1.973, 22.8
1.712, 5.9
1.707, 11.6
1.530, 10.3
1.527, 20.4
1.396, 12.0
1.395, 23.9
1.209, 7.6
1.207, 3.8
1.139, 12.7


Entry 3:
Calculated PXRD pattern of UZn for a wavelength of 1.5418 Å, from a cell relaxed with PBE.
Peak positions follow from Bragg's law for the DFT cell and can differ from measured ones.

Structure:
a b c (Å): 6.283 4.953 4.724
angles (deg): 90.00 90.00 90.00
Space group Pbcm (No. 57)
One atom of each set of equivalent atoms:
U  0.112  0.114  0.250 [4 per cell]
Zn  0.400  0.611  0.250 [4 per cell]

Peak list (12 most intense, 15° ≤ 2θ ≤ 90°, sorted by position)
d_spacing, I/Imax
3.890, 18.9
3.003, 25.2
2.653, 54.9
2.362, 48.5
2.313, 100.0
2.194, 76.8
2.071, 19.9
1.764, 33.1
1.461, 18.2
1.354, 18.8
1.277, 23.5
1.243, 17.8